No. 1
Rb2TiCdO4: computed X-ray diffraction stick pattern (Cu Kα X-rays), based on DFT lattice parameters and positions (PBE).

Structural model:
abc: 5.4809 12.4862 21.3286
angles: 90.00 90.00 90.00
Space group Fddd (No. 70, origin choice 2)
Unique sites:
Rb 0.1250 0.1250 0.3026 [16 per cell]
Ti 0.1250 0.1250 0.6250 [8 per cell]
Cd 0.1250 0.1250 0.1250 [8 per cell]
O 0.0783 0.2867 0.8286 [32 per cell]

Principal peaks in the range 2θ = 10–90°, low angle first:
(hkl)  2θ/deg  I (rel.)
0 0 4  16.6  44
1 1 1  18.2  40
1 3 1  27.2  31
1 1 5  27.4  30
0 4 0  28.6  44
0 2 6  28.9  100
1 3 5  34.3  44
2 2 0  35.8  54
2 0 6  41.6  40
2 4 6  51.3  38

=====

No. 2
ZnBi4O9: computed X-ray diffraction stick pattern (Cu Kα X-rays), based on DFT lattice parameters and positions (PBE).

Structural model:
abc: 8.2263 5.7376 11.3328
angles: 90.00 127.78 90.00
Space group P2/c (No. 13)
Unique sites:
Zn 0.0000 0.1996 0.2500 [2 per cell]
Bi 0.2084 0.1798 0.0658 [4 per cell]
Bi 0.3669 0.2899 0.8481 [4 per cell]
O 0.1186 0.1508 0.6109 [4 per cell]
O 0.1702 0.3742 0.2075 [4 per cell]
O 0.2413 0.0000 0.4137 [4 per cell]
O 0.3258 0.4538 0.0121 [4 per cell]
O 0.5000 0.0278 0.2500 [2 per cell]

Principal peaks in the range 2θ = 10–90°, low angle first:
(hkl)  2θ/deg  I (rel.)
1 1 1  26.4  100
2 1 -3  29.8  69
0 2 0  31.2  18
3 0 -2  33.1  25
1 0 -4  33.4  25
2 0 2  43.3  17
3 2 -2  46.1  18
1 2 -4  46.3  16
4 1 -1  53.2  12
0 1 5  53.6  14